The following is a simulated X-ray diffraction stick pattern of CrGaTeO6. It was derived from the GGA+U geometry in Alexandria, using CuKα.
Peak positions follow from Bragg's law for the DFT cell and can differ from measured ones.

The 10 most intense peaks (15 to 90 degrees two-theta), by angle:
2θ 21.53, rel. 20; 2θ 27.28, rel. 100; 2θ 35.22, rel. 68; 2θ 38.96, rel. 17; 2θ 53.52, rel. 63; 2θ 56.27, rel. 16; 2θ 63.64, rel. 13; 2θ 67.73, rel. 14; 2θ 68.15, rel. 20; 2θ 81.38, rel. 10

Atomic structure:
a = 4.624 Å, b = 4.624 Å, c = 9.162 Å
α = 90.00°, β = 90.00°, γ = 90.00°
Fractional positions:
Cr  0.000  0.000  0.000
Cr  0.500  0.500  0.500
Ga  0.000  0.000  0.331
Ga  0.500  0.500  0.831
Te  0.000  0.000  0.665
Te  0.500  0.500  0.165
O  0.192  0.192  0.502
O  0.193  0.193  0.828
O  0.199  0.199  0.167
O  0.301  0.699  0.667
O  0.307  0.693  0.328
O  0.308  0.692  0.002
O  0.692  0.308  0.002
O  0.693  0.307  0.328
O  0.699  0.301  0.667
O  0.801  0.801  0.167
O  0.807  0.807  0.828
O  0.808  0.808  0.502